[1]
Structure and simulated PXRD pattern of YRe4B4 (a structure optimized by DFT (PBE); λ = 1.5418 Å (Cu Kα)).

Cell and atoms:
```
data_YRe4B4
_space_group_name_H-M_alt 'P 1'
_space_group_IT_number 1
_cell_length_a 5.3635
_cell_length_b 5.3635
_cell_length_c 7.7184
_cell_angle_alpha 90.00
_cell_angle_beta 90.00
_cell_angle_gamma 90.00
loop_
_space_group_symop_operation_xyz
'x,y,z'
loop_
_atom_site_label
_atom_site_type_symbol
_atom_site_fract_x
_atom_site_fract_y
_atom_site_fract_z
Y1 Y 0.2500 0.7500 0.2500
Y2 Y 0.7500 0.2500 0.7500
Re1 Re 0.9996 0.2500 0.1100
Re2 Re 0.0004 0.7500 0.8900
Re3 Re 0.2500 0.9996 0.6100
Re4 Re 0.2500 0.5004 0.6100
Re5 Re 0.5004 0.2500 0.1100
Re6 Re 0.4996 0.7500 0.8900
Re7 Re 0.7500 0.0004 0.3900
Re8 Re 0.7500 0.4996 0.3900
B1 B 0.0812 0.2500 0.3920
B2 B 0.2500 0.0812 0.8920
B3 B 0.2500 0.4188 0.8920
B4 B 0.4188 0.2500 0.3920
B5 B 0.5812 0.7500 0.6080
B6 B 0.7500 0.5812 0.1080
B7 B 0.7500 0.9188 0.1080
B8 B 0.9188 0.7500 0.6080
```

The 12 most intense peaks (10° ≤ 2θ ≤ 90°), in order of rising 2θ:
20.16 deg, intensity 30
28.49 deg, intensity 66
35.43 deg, intensity 100
38.82 deg, intensity 46
39.33 deg, intensity 56
44.47 deg, intensity 47
47.98 deg, intensity 31
49.07 deg, intensity 16
69.50 deg, intensity 29
70.19 deg, intensity 16
70.37 deg, intensity 21
81.16 deg, intensity 20

=====

[2]
Structure and simulated PXRD pattern of LaSi5 (a structure optimized by DFT (PBE); λ = 1.5418 Å (Cu Kα)).

Cell and atoms:
```
data_LaSi5
_space_group_name_H-M_alt 'P 1'
_space_group_IT_number 1
_cell_length_a 7.8029
_cell_length_b 7.8029
_cell_length_c 8.4346
_cell_angle_alpha 107.81
_cell_angle_beta 107.81
_cell_angle_gamma 29.62
loop_
_space_group_symop_operation_xyz
'x,y,z'
loop_
_atom_site_label
_atom_site_type_symbol
_atom_site_fract_x
_atom_site_fract_y
_atom_site_fract_z
La1 La 0.0667 0.0667 0.2716
La2 La 0.9333 0.9333 0.7284
Si1 Si 0.1501 0.1501 0.7085
Si2 Si 0.1752 0.1752 0.0028
Si3 Si 0.2691 0.2691 0.5844
Si4 Si 0.4258 0.4258 0.0225
Si5 Si 0.4382 0.4382 0.3746
Si6 Si 0.5618 0.5618 0.6254
Si7 Si 0.5742 0.5742 0.9775
Si8 Si 0.7309 0.7309 0.4156
Si9 Si 0.8248 0.8248 0.9972
Si10 Si 0.8499 0.8499 0.2915
```

The 12 most intense peaks (10° ≤ 2θ ≤ 90°), in order of rising 2θ:
12.37 deg, intensity 77
21.75 deg, intensity 39
23.15 deg, intensity 66
29.05 deg, intensity 60
30.42 deg, intensity 39
30.86 deg, intensity 58
33.05 deg, intensity 38
33.40 deg, intensity 96
33.66 deg, intensity 100
35.03 deg, intensity 57
37.39 deg, intensity 87
45.47 deg, intensity 43

=====

[3]
Structure and simulated PXRD pattern of CaEuO2 (a structure optimized by DFT (PBE); λ = 1.5418 Å (Cu Kα)).

Cell and atoms:
```
data_CaEuO2
_space_group_name_H-M_alt 'P 1'
_space_group_IT_number 1
_cell_length_a 3.5050
_cell_length_b 3.5050
_cell_length_c 17.2906
_cell_angle_alpha 90.00
_cell_angle_beta 90.00
_cell_angle_gamma 120.00
loop_
_space_group_symop_operation_xyz
'x,y,z'
loop_
_atom_site_label
_atom_site_type_symbol
_atom_site_fract_x
_atom_site_fract_y
_atom_site_fract_z
Ca1 Ca 0.0000 0.0000 0.0000
Ca2 Ca 0.3333 0.6667 0.6667
Ca3 Ca 0.6667 0.3333 0.3333
Eu1 Eu 0.0000 0.0000 0.5000
Eu2 Eu 0.3333 0.6667 0.1667
Eu3 Eu 0.6667 0.3333 0.8333
O1 O 0.0000 0.0000 0.2541
O2 O 0.0000 0.0000 0.7459
O3 O 0.3333 0.6667 0.4125
O4 O 0.3333 0.6667 0.9208
O5 O 0.6667 0.3333 0.0792
O6 O 0.6667 0.3333 0.5875
```

The 12 most intense peaks (10° ≤ 2θ ≤ 90°), in order of rising 2θ:
15.37 deg, intensity 55
29.89 deg, intensity 39
31.03 deg, intensity 25
31.23 deg, intensity 74
36.16 deg, intensity 100
39.50 deg, intensity 20
51.94 deg, intensity 33
52.19 deg, intensity 33
54.75 deg, intensity 14
61.98 deg, intensity 22
65.14 deg, intensity 16
87.68 deg, intensity 14

=====

[4]
Structure and simulated PXRD pattern of Nd5Co21B4 (a structure optimized by DFT (PBE); λ = 1.5418 Å (Cu Kα)).

Cell and atoms:
```
data_Nd5Co21B4
_space_group_name_H-M_alt 'P 1'
_space_group_IT_number 1
_cell_length_a 5.0869
_cell_length_b 5.0869
_cell_length_c 17.6107
_cell_angle_alpha 90.00
_cell_angle_beta 90.00
_cell_angle_gamma 120.00
loop_
_space_group_symop_operation_xyz
'x,y,z'
loop_
_atom_site_label
_atom_site_type_symbol
_atom_site_fract_x
_atom_site_fract_y
_atom_site_fract_z
Nd1 Nd 0.0000 0.0000 0.0000
Nd2 Nd 0.0000 0.0000 0.1951
Nd3 Nd 0.0000 0.0000 0.3916
Nd4 Nd 0.0000 0.0000 0.6084
Nd5 Nd 0.0000 0.0000 0.8049
Co1 Co 0.0000 0.5000 0.1124
Co2 Co 0.0000 0.5000 0.2766
Co3 Co 0.0000 0.5000 0.5000
Co4 Co 0.0000 0.5000 0.7234
Co5 Co 0.0000 0.5000 0.8876
Co6 Co 0.3333 0.6667 0.0000
Co7 Co 0.3333 0.6667 0.3890
Co8 Co 0.3333 0.6667 0.6110
Co9 Co 0.5000 0.0000 0.1124
Co10 Co 0.5000 0.0000 0.2766
Co11 Co 0.5000 0.0000 0.5000
Co12 Co 0.5000 0.0000 0.7234
Co13 Co 0.5000 0.0000 0.8876
Co14 Co 0.5000 0.5000 0.1124
Co15 Co 0.5000 0.5000 0.2766
Co16 Co 0.5000 0.5000 0.5000
Co17 Co 0.5000 0.5000 0.7234
Co18 Co 0.5000 0.5000 0.8876
Co19 Co 0.6667 0.3333 0.0000
Co20 Co 0.6667 0.3333 0.3890
Co21 Co 0.6667 0.3333 0.6110
B1 B 0.3333 0.6667 0.1945
B2 B 0.3333 0.6667 0.8055
B3 B 0.6667 0.3333 0.1945
B4 B 0.6667 0.3333 0.8055
```

The 12 most intense peaks (10° ≤ 2θ ≤ 90°), in order of rising 2θ:
32.55 deg, intensity 73
35.29 deg, intensity 32
40.98 deg, intensity 78
43.91 deg, intensity 100
51.92 deg, intensity 12
61.61 deg, intensity 23
64.34 deg, intensity 13
68.18 deg, intensity 13
69.33 deg, intensity 24
74.63 deg, intensity 21
83.82 deg, intensity 15
88.86 deg, intensity 12

=====

[5]
Structure and simulated PXRD pattern of MgSi2 (a structure optimized by DFT (PBE); λ = 1.5418 Å (Cu Kα)).

Cell and atoms:
```
data_MgSi2
_space_group_name_H-M_alt 'P 1'
_space_group_IT_number 1
_cell_length_a 6.9330
_cell_length_b 3.6030
_cell_length_c 9.0069
_cell_angle_alpha 90.00
_cell_angle_beta 102.99
_cell_angle_gamma 90.00
loop_
_space_group_symop_operation_xyz
'x,y,z'
loop_
_atom_site_label
_atom_site_type_symbol
_atom_site_fract_x
_atom_site_fract_y
_atom_site_fract_z
Mg1 Mg 0.0468 0.2500 0.3588
Mg2 Mg 0.2404 0.7500 0.1392
Mg3 Mg 0.7596 0.2500 0.8608
Mg4 Mg 0.9532 0.7500 0.6412
Si1 Si 0.1560 0.2500 0.8692
Si2 Si 0.2917 0.2500 0.6345
Si3 Si 0.4136 0.7500 0.8986
Si4 Si 0.4727 0.2500 0.3527
Si5 Si 0.5273 0.7500 0.6473
Si6 Si 0.5864 0.2500 0.1014
Si7 Si 0.7083 0.7500 0.3655
Si8 Si 0.8440 0.7500 0.1308
```

The 12 most intense peaks (10° ≤ 2θ ≤ 90°), in order of rising 2θ:
13.11 deg, intensity 15
30.43 deg, intensity 15
30.91 deg, intensity 36
32.14 deg, intensity 20
39.58 deg, intensity 100
40.72 deg, intensity 23
41.14 deg, intensity 44
43.99 deg, intensity 31
48.21 deg, intensity 15
50.67 deg, intensity 29
67.24 deg, intensity 20
70.84 deg, intensity 16

=====

[6]
Structure and simulated PXRD pattern of ErGa3 (a structure optimized by DFT (PBE); λ = 1.5418 Å (Cu Kα)).

Cell and atoms:
```
data_ErGa3
_space_group_name_H-M_alt 'P 1'
_space_group_IT_number 1
_cell_length_a 6.2122
_cell_length_b 6.2122
_cell_length_c 4.6026
_cell_angle_alpha 90.00
_cell_angle_beta 90.00
_cell_angle_gamma 120.00
loop_
_space_group_symop_operation_xyz
'x,y,z'
loop_
_atom_site_label
_atom_site_type_symbol
_atom_site_fract_x
_atom_site_fract_y
_atom_site_fract_z
Er1 Er 0.3333 0.6667 0.2500
Er2 Er 0.6667 0.3333 0.7500
Ga1 Ga 0.1507 0.3014 0.7500
Ga2 Ga 0.1507 0.8493 0.7500
Ga3 Ga 0.3014 0.1507 0.2500
Ga4 Ga 0.6986 0.8493 0.7500
Ga5 Ga 0.8493 0.1507 0.2500
Ga6 Ga 0.8493 0.6986 0.2500
```

The 12 most intense peaks (10° ≤ 2θ ≤ 90°), in order of rising 2θ:
25.47 deg, intensity 24
28.74 deg, intensity 10
33.31 deg, intensity 25
38.77 deg, intensity 100
39.14 deg, intensity 23
44.56 deg, intensity 6
52.32 deg, intensity 14
59.52 deg, intensity 17
65.79 deg, intensity 5
70.69 deg, intensity 17
73.33 deg, intensity 13
73.57 deg, intensity 18

=====

[7]
Structure and simulated PXRD pattern of LiNd2OsO6 (a structure optimized by DFT (PBE); λ = 1.5418 Å (Cu Kα)).

Cell and atoms:
```
data_LiNd2OsO6
_space_group_name_H-M_alt 'P 1'
_space_group_IT_number 1
_cell_length_a 5.4763
_cell_length_b 5.8501
_cell_length_c 9.4909
_cell_angle_alpha 90.00
_cell_angle_beta 124.65
_cell_angle_gamma 90.00
loop_
_space_group_symop_operation_xyz
'x,y,z'
loop_
_atom_site_label
_atom_site_type_symbol
_atom_site_fract_x
_atom_site_fract_y
_atom_site_fract_z
Li1 Li 0.0000 0.0000 0.0000
Li2 Li 0.0000 0.5000 0.5000
Nd1 Nd 0.2311 0.0714 0.7486
Nd2 Nd 0.2311 0.4286 0.2486
Nd3 Nd 0.7689 0.5714 0.7514
Nd4 Nd 0.7689 0.9286 0.2514
Os1 Os 0.5000 0.0000 0.5000
Os2 Os 0.5000 0.5000 0.0000
O1 O 0.1547 0.1849 0.4510
O2 O 0.1547 0.3151 0.9510
O3 O 0.2657 0.7118 0.4450
O4 O 0.2657 0.7882 0.9450
O5 O 0.3579 0.0334 0.2564
O6 O 0.3579 0.4666 0.7564
O7 O 0.6421 0.5334 0.2436
O8 O 0.6421 0.9666 0.7436
O9 O 0.7343 0.2118 0.0550
O10 O 0.7343 0.2882 0.5550
O11 O 0.8453 0.6849 0.0490
O12 O 0.8453 0.8151 0.5490
```

The 12 most intense peaks (10° ≤ 2θ ≤ 90°), in order of rising 2θ:
18.96 deg, intensity 75
19.71 deg, intensity 22
19.90 deg, intensity 43
30.56 deg, intensity 39
31.92 deg, intensity 100
32.17 deg, intensity 100
32.70 deg, intensity 73
37.97 deg, intensity 26
45.37 deg, intensity 37
46.52 deg, intensity 28
51.08 deg, intensity 37
57.72 deg, intensity 34